The following is a simulated powder diffraction line list of FeF2. It was derived from a DFT-relaxed cell (GGA+U, Alexandria), using Cu Kα, 1.54184 Å.
Neutral-atom scattering factors, no anomalous dispersion.

Top 8 peaks for 10° ≤ 2θ ≤ 80°, by angle:
3.395 Å, 2θ 26.25, intensity 100
2.731 Å, 2θ 32.79, intensity 60
2.374 Å, 2θ 37.90, intensity 23
1.803 Å, 2θ 50.62, intensity 70
1.697 Å, 2θ 54.02, intensity 21
1.661 Å, 2θ 55.32, intensity 13
1.492 Å, 2θ 62.24, intensity 15
1.442 Å, 2θ 64.65, intensity 25

Structure:
```
data_FeF2
_chemical_formula_sum 'Fe2 F4'
_space_group_name_H-M_alt 'P 42/m n m'
_space_group_IT_number 136
_space_group_name_Hall '-P 4n 2n'
_cell_length_a 4.801
_cell_length_b 4.801
_cell_length_c 3.321
_cell_angle_alpha 90.00
_cell_angle_beta 90.00
_cell_angle_gamma 90.00
loop_
_atom_site_label
_atom_site_type_symbol
_atom_site_fract_x
_atom_site_fract_y
_atom_site_fract_z
_atom_site_occupancy
Fe1 Fe 0.000 0.000 0.000 1
F1 F 0.200 0.200 0.500 1
```

***

The following is a simulated powder diffraction line list of Fe2F13. It was derived from a DFT-relaxed cell (GGA+U, Alexandria), using Cu Kα, 1.54184 Å.
Neutral-atom scattering factors, no anomalous dispersion.

Top 8 peaks for 10° ≤ 2θ ≤ 80°, by angle:
5.753 Å, 2θ 15.40, intensity 80
5.582 Å, 2θ 15.88, intensity 49
4.156 Å, 2θ 21.38, intensity 100
3.768 Å, 2θ 23.61, intensity 69
3.694 Å, 2θ 24.09, intensity 43
3.559 Å, 2θ 25.02, intensity 45
3.484 Å, 2θ 25.57, intensity 52
2.051 Å, 2θ 44.16, intensity 53

Structure:
```
data_Fe2F13
_chemical_formula_sum 'Fe2 F13'
_space_group_name_H-M_alt 'P -1'
_space_group_IT_number 2
_space_group_name_Hall '-P 1'
_cell_length_a 5.004
_cell_length_b 6.390
_cell_length_c 7.366
_cell_angle_alpha 65.46
_cell_angle_beta 80.27
_cell_angle_gamma 78.54
loop_
_atom_site_label
_atom_site_type_symbol
_atom_site_fract_x
_atom_site_fract_y
_atom_site_fract_z
_atom_site_occupancy
Fe1 Fe 0.166 0.125 0.229 1
F1 F 0.000 0.000 0.500 1
F2 F 0.100 0.876 0.205 1
F3 F 0.160 0.726 0.847 1
F4 F 0.222 0.364 0.273 1
F5 F 0.320 0.235 0.984 1
F6 F 0.381 0.492 0.568 1
F7 F 0.484 0.970 0.322 1
```

***

The following is a simulated powder diffraction line list of FeF3. It was derived from a DFT-relaxed cell (GGA+U, Alexandria), using Cu Kα, 1.54184 Å.
Neutral-atom scattering factors, no anomalous dispersion.

Top 8 peaks for 10° ≤ 2θ ≤ 80°, by angle:
3.905 Å, 2θ 22.77, intensity 100
2.761 Å, 2θ 32.43, intensity 19
1.952 Å, 2θ 46.51, intensity 28
1.746 Å, 2θ 52.39, intensity 35
1.594 Å, 2θ 57.84, intensity 7
1.381 Å, 2θ 67.89, intensity 15
1.302 Å, 2θ 72.64, intensity 14
1.235 Å, 2θ 77.26, intensity 3

Structure:
```
data_FeF3
_chemical_formula_sum 'Fe1 F3'
_space_group_name_H-M_alt 'P m -3 m'
_space_group_IT_number 221
_space_group_name_Hall '-P 4 2 3'
_cell_length_a 3.905
_cell_length_b 3.905
_cell_length_c 3.905
_cell_angle_alpha 90.00
_cell_angle_beta 90.00
_cell_angle_gamma 90.00
loop_
_atom_site_label
_atom_site_type_symbol
_atom_site_fract_x
_atom_site_fract_y
_atom_site_fract_z
_atom_site_occupancy
Fe1 Fe 0.000 0.000 0.000 1
F1 F 0.000 0.000 0.500 1
```

***

The following is a simulated powder diffraction line list of FeGeNF2. It was derived from a DFT-relaxed cell (GGA+U, Alexandria), using Cu Kα, 1.54184 Å.
Neutral-atom scattering factors, no anomalous dispersion.

Top 8 peaks for 10° ≤ 2θ ≤ 80°, by angle:
2.845 Å, 2θ 31.45, intensity 100
2.800 Å, 2θ 31.96, intensity 39
2.310 Å, 2θ 38.99, intensity 18
2.044 Å, 2θ 44.31, intensity 22
1.980 Å, 2θ 45.83, intensity 40
1.651 Å, 2θ 55.67, intensity 16
1.625 Å, 2θ 56.64, intensity 37
1.422 Å, 2θ 65.65, intensity 24

Structure:
```
data_FeGeNF2
_chemical_formula_sum 'Fe1 Ge1 N1 F2'
_space_group_name_H-M_alt 'P 4/m m m'
_space_group_IT_number 123
_space_group_name_Hall '-P 4 2'
_cell_length_a 3.960
_cell_length_b 3.960
_cell_length_c 4.088
_cell_angle_alpha 90.00
_cell_angle_beta 90.00
_cell_angle_gamma 90.00
loop_
_atom_site_label
_atom_site_type_symbol
_atom_site_fract_x
_atom_site_fract_y
_atom_site_fract_z
_atom_site_occupancy
Fe1 Fe 0.000 0.000 0.000 1
Ge1 Ge 0.500 0.500 0.500 1
N1 N 0.000 0.000 0.500 1
F1 F 0.000 0.500 0.000 1
```

***

The following is a simulated powder diffraction line list of Fe2HF4. It was derived from a DFT-relaxed cell (GGA+U, Alexandria), using Cu Kα, 1.54184 Å.
Neutral-atom scattering factors, no anomalous dispersion.

Top 8 peaks for 10° ≤ 2θ ≤ 80°, by angle:
3.318 Å, 2θ 26.87, intensity 100
2.612 Å, 2θ 34.33, intensity 57
2.442 Å, 2θ 36.80, intensity 77
2.261 Å, 2θ 39.87, intensity 59
1.968 Å, 2θ 46.12, intensity 44
1.892 Å, 2θ 48.08, intensity 96
1.727 Å, 2θ 53.03, intensity 63
1.533 Å, 2θ 60.40, intensity 61

Structure:
```
data_Fe2HF4
_chemical_formula_sum 'Fe4 H2 F8'
_space_group_name_H-M_alt 'I 4/m m m'
_space_group_IT_number 139
_space_group_name_Hall '-I 4 2'
_cell_length_a 3.454
_cell_length_b 3.454
_cell_length_c 11.976
_cell_angle_alpha 90.00
_cell_angle_beta 90.00
_cell_angle_gamma 90.00
loop_
_atom_site_label
_atom_site_type_symbol
_atom_site_fract_x
_atom_site_fract_y
_atom_site_fract_z
_atom_site_occupancy
Fe1 Fe 0.000 0.000 0.135 1
H1 H 0.000 0.000 0.500 1
F1 F 0.000 0.000 0.304 1
F2 F 0.000 0.500 0.000 1
```

***

The following is a simulated powder diffraction line list of K2FeHF6. It was derived from a DFT-relaxed cell (GGA+U, Alexandria), using Cu Kα, 1.54184 Å.
Neutral-atom scattering factors, no anomalous dispersion.

Top 8 peaks for 10° ≤ 2θ ≤ 80°, by angle:
5.033 Å, 2θ 17.62, intensity 96
4.667 Å, 2θ 19.02, intensity 100
3.048 Å, 2θ 29.30, intensity 77
2.993 Å, 2θ 29.85, intensity 51
2.516 Å, 2θ 35.68, intensity 53
2.505 Å, 2θ 35.85, intensity 41
2.271 Å, 2θ 39.69, intensity 65
2.056 Å, 2θ 44.05, intensity 45

Structure:
```
data_K2FeHF6
_chemical_formula_sum 'K2 Fe1 H1 F6'
_space_group_name_H-M_alt 'P 1'
_space_group_IT_number 1
_space_group_name_Hall 'P 1'
_cell_length_a 5.442
_cell_length_b 6.049
_cell_length_c 6.052
_cell_angle_alpha 118.94
_cell_angle_beta 115.72
_cell_angle_gamma 91.88
loop_
_atom_site_label
_atom_site_type_symbol
_atom_site_fract_x
_atom_site_fract_y
_atom_site_fract_z
_atom_site_occupancy
K1 K 0.000 0.000 0.000 1
K2 K 0.457 0.457 0.914 1
Fe1 Fe 0.197 0.723 0.457 1
H1 H 0.751 0.446 0.457 1
F1 F 0.006 0.443 0.456 1
F2 F 0.032 0.492 0.050 1
F3 F 0.399 0.972 0.458 1
F4 F 0.439 0.898 0.865 1
F5 F 0.566 0.462 0.457 1
F6 F 0.902 0.882 0.457 1
```

***

The following is a simulated powder diffraction line list of MnFeH4O2F5. It was derived from a DFT-relaxed cell (GGA+U, Alexandria), using Cu Kα, 1.54184 Å.
Neutral-atom scattering factors, no anomalous dispersion.

Top 8 peaks for 10° ≤ 2θ ≤ 80°, by angle:
5.706 Å, 2θ 15.53, intensity 100
5.031 Å, 2θ 17.63, intensity 30
3.732 Å, 2θ 23.84, intensity 36
3.239 Å, 2θ 27.53, intensity 38
3.191 Å, 2θ 27.96, intensity 39
3.166 Å, 2θ 28.19, intensity 53
2.853 Å, 2θ 31.35, intensity 36
1.866 Å, 2θ 48.81, intensity 41

Structure:
```
data_MnFeH4O2F5
_chemical_formula_sum 'Mn4 Fe4 H16 O8 F20'
_space_group_name_H-M_alt 'I m m a'
_space_group_IT_number 74
_space_group_name_Hall '-I 2b 2'
_cell_length_a 7.698
_cell_length_b 11.130
_cell_length_c 6.646
_cell_angle_alpha 90.00
_cell_angle_beta 90.00
_cell_angle_gamma 90.00
loop_
_atom_site_label
_atom_site_type_symbol
_atom_site_fract_x
_atom_site_fract_y
_atom_site_fract_z
_atom_site_occupancy
Mn1 Mn 0.000 0.000 0.000 1
Fe1 Fe 0.250 0.250 0.250 1
H1 H 0.102 0.092 0.616 1
O1 O 0.000 0.070 0.697 1
F1 F 0.000 0.250 0.317 1
F2 F 0.214 0.125 0.048 1
```

***

The following is a simulated powder diffraction line list of NaFeH4SO6F. It was derived from a DFT-relaxed cell (GGA+U, Alexandria), using Cu Kα, 1.54184 Å.
Neutral-atom scattering factors, no anomalous dispersion.

Top 8 peaks for 10° ≤ 2θ ≤ 80°, by angle:
6.725 Å, 2θ 13.17, intensity 50
5.387 Å, 2θ 16.46, intensity 55
3.582 Å, 2θ 24.85, intensity 60
3.265 Å, 2θ 27.31, intensity 43
3.230 Å, 2θ 27.62, intensity 25
3.058 Å, 2θ 29.20, intensity 100
2.664 Å, 2θ 33.64, intensity 23
1.868 Å, 2θ 48.75, intensity 23

Structure:
```
data_NaFeH4SO6F
_chemical_formula_sum 'Na2 Fe2 H8 S2 O12 F2'
_space_group_name_H-M_alt 'P -1'
_space_group_IT_number 2
_space_group_name_Hall '-P 1'
_cell_length_a 5.841
_cell_length_b 7.292
_cell_length_c 7.470
_cell_angle_alpha 90.03
_cell_angle_beta 90.10
_cell_angle_gamma 112.75
loop_
_atom_site_label
_atom_site_type_symbol
_atom_site_fract_x
_atom_site_fract_y
_atom_site_fract_z
_atom_site_occupancy
Na1 Na 0.132 0.206 0.251 1
Fe1 Fe 0.500 0.000 0.000 1
Fe2 Fe 0.500 0.000 0.500 1
H1 H 0.068 0.691 0.069 1
H2 H 0.068 0.691 0.431 1
H3 H 0.193 0.620 0.909 1
H4 H 0.194 0.620 0.592 1
S1 S 0.341 0.306 0.750 1
O1 O 0.152 0.404 0.750 1
O2 O 0.162 0.735 0.545 1
O3 O 0.162 0.735 0.956 1
O4 O 0.290 0.176 0.586 1
O5 O 0.290 0.176 0.912 1
O6 O 0.406 0.542 0.250 1
F1 F 0.385 0.033 0.249 1
```